Er2Ge5Rh3: simulated X-ray powder pattern (λ = 1.5418 Å (Cu Kα)), based on DFT lattice parameters and positions (PBE).
Kinematic intensities with the Lorentz-polarization factor, no thermal factor.

Atomic structure:
Cell lengths 11.427, 12.171, 5.884 Å; angles 90.00, 118.33, 90.00 degrees
Space group C2/c (No. 15)
One atom of each set of equivalent atoms:
Er1 0.230 0.139 0.234 x8
Ge1 0.000 0.011 0.250 x4
Ge2 0.000 0.279 0.250 x4
Ge3 0.000 0.292 0.750 x4
Ge4 0.169 0.405 0.168 x8
Rh1 0.000 0.499 0.750 x4
Rh2 0.099 0.143 0.621 x8

The 6 most intense peaks (10° ≤ 2θ ≤ 90°), low angle first:
h k l, d/Å, 2θ (°), intensity
2 2 1, 2.670, 33.56, 55
2 4 0, 2.603, 34.45, 78
0 0 2, 2.590, 34.63, 68
4 2 -1, 2.586, 34.69, 71
4 0 -2, 2.488, 36.10, 39
2 4 -2, 2.114, 42.78, 100